Structure and computed powder diffraction line list of LiMg6Au5 (a cell relaxed with PBE; Cu Kα, 1.54184 Å).

The 12 most intense peaks (2θ = 10–90°), in order of rising 2θ:
- 2θ 26.5, intensity 35
- 2θ 27.2, intensity 64
- 2θ 38.4, intensity 100
- 2θ 38.8, intensity 23
- 2θ 39.0, intensity 24
- 2θ 47.6, intensity 14
- 2θ 47.8, intensity 15
- 2θ 56.2, intensity 16
- 2θ 62.1, intensity 14
- 2θ 63.2, intensity 12
- 2θ 70.0, intensity 16
- 2θ 70.2, intensity 17

Structure:
Cell lengths 7.337, 7.337, 6.717 Å; angles 90.00, 90.00, 143.27 degrees
Fractional coordinates of all 12 atoms:
1 Li 0.000 0.000 0.000
2 Mg 0.169 0.831 0.248
3 Mg 0.169 0.831 0.752
4 Mg 0.500 0.500 0.260
5 Mg 0.500 0.500 0.740
6 Mg 0.831 0.169 0.248
7 Mg 0.831 0.169 0.752
8 Au 0.000 0.000 0.500
9 Au 0.331 0.669 0.500
10 Au 0.344 0.656 0.000
11 Au 0.656 0.344 0.000
12 Au 0.669 0.331 0.500